Computed X-ray powder pattern
Compound: Na2NiPCO7
Radiation: Cu Kα, 1.54184 Å
Structure: a structure optimized by DFT (GGA+U)

Main lines, sorted by position (2θ = 5–70°):
2θ 9.91, intensity 100.0, (0 1 0)
2θ 16.68, intensity 36.0, (1 -1 0)
2θ 20.06, intensity 16.6, (0 1 -2)
2θ 21.80, intensity 18.5, (1 0 -2)
2θ 26.03, intensity 26.5, (0 2 2)
2θ 26.94, intensity 40.8, (2 0 0)
2θ 30.01, intensity 14.7, (0 3 0)
2θ 33.54, intensity 19.1, (2 1 2)
2θ 33.74, intensity 26.8, (2 -2 0)
2θ 34.68, intensity 27.3, (0 0 4)
2θ 37.79, intensity 17.2, (1 -3 2)
2θ 42.19, intensity 23.3, (3 -1 0)

a = 6.618 Å, b = 8.929 Å, c = 10.351 Å
α = 88.51°, β = 89.85°, γ = 89.95°
Element x y z (fractional)
Na  0.000  0.000  0.000
Na  0.002  0.991  0.486
Na  0.259  0.815  0.758
Na  0.478  0.000  0.004
Na  0.479  0.991  0.482
Na  0.498  0.492  0.247
Na  0.953  0.474  0.748
Na  0.983  0.493  0.253
Ni  0.242  0.391  0.974
Ni  0.244  0.387  0.482
Ni  0.737  0.089  0.762
Ni  0.743  0.092  0.261
P  0.238  0.157  0.730
P  0.241  0.164  0.227
P  0.739  0.318  0.015
P  0.741  0.314  0.512
C  0.234  0.668  0.007
C  0.238  0.666  0.512
C  0.740  0.816  0.229
C  0.743  0.816  0.727
O  0.054  0.054  0.765
O  0.054  0.067  0.264
O  0.227  0.308  0.797
O  0.229  0.606  0.895
O  0.230  0.570  0.608
O  0.237  0.575  0.106
O  0.237  0.809  0.016
O  0.239  0.194  0.077
O  0.240  0.316  0.296
O  0.241  0.807  0.530
O  0.242  0.186  0.579
O  0.244  0.607  0.399
O  0.425  0.060  0.770
O  0.430  0.070  0.262
O  0.549  0.413  0.988
O  0.553  0.407  0.471
O  0.736  0.915  0.632
O  0.737  0.166  0.946
O  0.737  0.875  0.841
O  0.740  0.881  0.341
O  0.741  0.676  0.219
O  0.741  0.911  0.131
O  0.744  0.162  0.443
O  0.745  0.277  0.660
O  0.748  0.285  0.166
O  0.754  0.678  0.710
O  0.926  0.413  0.975
O  0.929  0.410  0.476